Starting from a cell relaxed with PBE, the powder diffractogram of Tl3AgI5 was computed for Cu Kα (weighted mean of Kα1 and Kα2).
Neutral-atom scattering factors, no anomalous dispersion.

Top 12 peaks for 2θ from 5° to 70°, low angle first:
d_spacing  two_theta  I/Imax  h k l
4.220  21.05  28  1 1 2
3.378  26.38  19  0 0 4
3.134  28.48  80  2 1 2
3.120  28.61  100  3 0 0
2.865  31.22  92  1 1 4
2.509  35.79  25  2 2 2
2.110  42.85  35  2 2 4
2.045  44.28  23  3 2 2
1.955  46.44  15  4 1 2
1.900  47.88  19  2 1 6
1.485  62.53  17  3 0 8
1.370  68.48  14  5 2 4

Structural model:
abc: 10.809 10.809 13.513
angles: 90.00 90.00 120.00
Fractional coordinates of all 36 atoms:
Tl 0.000 0.363 0.000
Tl 0.000 0.363 0.500
Tl 0.034 0.649 0.250
Tl 0.351 0.385 0.250
Tl 0.363 0.000 0.000
Tl 0.363 0.000 0.500
Tl 0.385 0.351 0.750
Tl 0.615 0.966 0.250
Tl 0.637 0.637 0.000
Tl 0.637 0.637 0.500
Tl 0.649 0.034 0.750
Tl 0.966 0.615 0.750
Ag 0.000 0.000 0.120
Ag 0.000 0.000 0.380
Ag 0.000 0.000 0.620
Ag 0.000 0.000 0.880
I 0.000 0.755 0.000
I 0.000 0.755 0.500
I 0.006 0.244 0.750
I 0.237 0.994 0.750
I 0.244 0.006 0.250
I 0.245 0.245 0.000
I 0.245 0.245 0.500
I 0.333 0.667 0.102
I 0.333 0.667 0.398
I 0.333 0.667 0.642
I 0.333 0.667 0.858
I 0.667 0.333 0.142
I 0.667 0.333 0.358
I 0.667 0.333 0.602
I 0.667 0.333 0.898
I 0.755 0.000 0.000
I 0.755 0.000 0.500
I 0.756 0.763 0.750
I 0.763 0.756 0.250
I 0.994 0.237 0.250

Starting from a cell relaxed with PBE, the powder diffractogram of TlAgI2 was computed for Cu Kα (weighted mean of Kα1 and Kα2).
Neutral-atom scattering factors, no anomalous dispersion.

Top 12 peaks for 2θ from 5° to 70°, low angle first:
d_spacing  two_theta  I/Imax  h k l
4.258  20.86  15  2 0 0
3.427  26.00  46  2 1 1
3.011  29.67  42  2 2 0
2.888  30.97  100  2 0 2
2.693  33.27  14  3 1 0
2.390  37.64  13  2 2 2
2.159  41.85  13  2 1 3
1.998  45.40  15  4 1 1
1.904  47.76  17  4 2 0
1.872  48.64  18  4 0 2
1.714  53.47  15  4 2 2
1.646  55.87  14  2 2 4

Structural model:
abc: 8.516 8.516 7.860
angles: 90.00 90.00 90.00
Fractional coordinates of all 16 atoms:
Tl 0.000 0.000 0.250
Tl 0.000 0.000 0.750
Tl 0.500 0.500 0.250
Tl 0.500 0.500 0.750
Ag 0.000 0.500 0.250
Ag 0.000 0.500 0.750
Ag 0.500 0.000 0.250
Ag 0.500 0.000 0.750
I 0.177 0.323 0.000
I 0.177 0.677 0.500
I 0.323 0.177 0.500
I 0.323 0.823 0.000
I 0.677 0.177 0.000
I 0.677 0.823 0.500
I 0.823 0.323 0.500
I 0.823 0.677 0.000

Starting from a cell relaxed with PBE, the powder diffractogram of In4Ag9 was computed for Cu Kα (weighted mean of Kα1 and Kα2).
Neutral-atom scattering factors, no anomalous dispersion.

Top 12 peaks for 2θ from 5° to 70°, low angle first:
d_spacing  two_theta  I/Imax  h k l
2.906  30.77  5  2 2 2
2.690  33.31  4  3 2 1
2.372  37.92  100  3 3 0
2.146  42.11  4  3 3 2
2.055  44.08  2  4 2 2
1.974  45.98  3  5 1 0
1.838  49.61  2  5 2 1
1.678  54.72  10  6 0 0
1.484  62.59  3  6 3 1
1.453  64.10  5  4 4 4
1.423  65.58  3  5 5 0
1.370  68.50  21  6 3 3

Structural model:
abc: 10.065 10.065 10.065
angles: 90.00 90.00 90.00
Fractional coordinates of all 52 atoms:
In 0.034 0.310 0.310
In 0.034 0.690 0.690
In 0.310 0.034 0.310
In 0.310 0.310 0.034
In 0.310 0.690 0.966
In 0.310 0.966 0.690
In 0.377 0.377 0.623
In 0.377 0.623 0.377
In 0.623 0.377 0.377
In 0.623 0.623 0.623
In 0.690 0.034 0.690
In 0.690 0.310 0.966
In 0.690 0.690 0.034
In 0.690 0.966 0.310
In 0.966 0.310 0.690
In 0.966 0.690 0.310
Ag 0.000 0.000 0.356
Ag 0.000 0.000 0.644
Ag 0.000 0.356 0.000
Ag 0.000 0.644 0.000
Ag 0.105 0.105 0.105
Ag 0.105 0.895 0.895
Ag 0.143 0.500 0.500
Ag 0.175 0.175 0.825
Ag 0.175 0.825 0.175
Ag 0.182 0.182 0.528
Ag 0.182 0.472 0.818
Ag 0.182 0.528 0.182
Ag 0.182 0.818 0.472
Ag 0.331 0.331 0.331
Ag 0.331 0.669 0.669
Ag 0.356 0.000 0.000
Ag 0.472 0.182 0.818
Ag 0.472 0.818 0.182
Ag 0.500 0.143 0.500
Ag 0.500 0.500 0.143
Ag 0.500 0.500 0.857
Ag 0.500 0.857 0.500
Ag 0.528 0.182 0.182
Ag 0.528 0.818 0.818
Ag 0.644 0.000 0.000
Ag 0.669 0.331 0.669
Ag 0.669 0.669 0.331
Ag 0.818 0.182 0.472
Ag 0.818 0.472 0.182
Ag 0.818 0.528 0.818
Ag 0.818 0.818 0.528
Ag 0.825 0.175 0.175
Ag 0.825 0.825 0.825
Ag 0.857 0.500 0.500
Ag 0.895 0.105 0.895
Ag 0.895 0.895 0.105

Starting from a cell relaxed with PBE, the powder diffractogram of InAg4 was computed for Cu Kα (weighted mean of Kα1 and Kα2).
Neutral-atom scattering factors, no anomalous dispersion.

Top 5 peaks for 2θ from 5° to 70°, low angle first:
d_spacing  two_theta  I/Imax  h k l
2.477  36.26  100  0 1 5
2.395  37.55  30  0 0 15
2.127  42.50  63  1 0 10
1.524  60.79  21  1 1 0
1.485  62.55  18  0 1 20

Structural model:
abc: 3.047 3.047 35.924
angles: 90.00 90.00 120.00
Fractional coordinates of all 15 atoms:
In 0.000 0.000 0.000
In 0.333 0.667 0.667
In 0.667 0.333 0.333
Ag 0.000 0.000 0.199
Ag 0.000 0.000 0.403
Ag 0.000 0.000 0.597
Ag 0.000 0.000 0.801
Ag 0.333 0.667 0.069
Ag 0.333 0.667 0.264
Ag 0.333 0.667 0.467
Ag 0.333 0.667 0.866
Ag 0.667 0.333 0.134
Ag 0.667 0.333 0.533
Ag 0.667 0.333 0.736
Ag 0.667 0.333 0.931